(1)
For SmZn5, DFT lattice parameters and positions (PBE) gives the computed X-ray diffraction stick pattern in this record (CuKα).

Peak list (10 most intense, 2θ from 10° to 90°, low angle first)
| two_theta | d [Å] | I/Imax | h k l |
| --- | --- | --- | --- |
| 28.46 | 3.136 | 41.4 | 1 0 1 |
| 33.51 | 2.675 | 29.6 | 1 1 0 |
| 38.88 | 2.316 | 34.5 | 2 0 0 |
| 39.79 | 2.265 | 100.0 | 1 1 1 |
| 42.42 | 2.131 | 26.9 | 0 0 2 |
| 58.89 | 1.568 | 19.9 | 2 0 2 |
| 64.15 | 1.452 | 23.4 | 3 0 1 |
| 70.41 | 1.337 | 16.8 | 2 2 0 |
| 75.83 | 1.255 | 14.1 | 1 1 3 |
| 85.78 | 1.133 | 19.6 | 2 2 2 |

Crystal structure
a b c (Å): 5.3491 5.3491 4.2618
angles (deg): 90.00 90.00 120.00
Space group P6/mmm (No. 191)
Symmetry-distinct sites (fractional):
Sm (0.0000, 0.0000, 0.0000)
Zn (0.0000, 0.5000, 0.5000)
Zn (0.3333, 0.6667, 0.0000)

(2)
For InH5N2F2, DFT lattice parameters and positions (PBE) gives the computed X-ray diffraction stick pattern in this record (CuKα).

Peak list (10 most intense, 2θ from 10° to 90°, low angle first)
| two_theta | d [Å] | I/Imax | h k l |
| --- | --- | --- | --- |
| 15.82 | 5.601 | 100.0 | 1 0 -2 |
| 19.07 | 4.653 | 54.9 | 0 1 1 |
| 19.80 | 4.485 | 37.8 | 1 1 -1 |
| 27.65 | 3.227 | 25.1 | 1 1 1 |
| 29.16 | 3.063 | 64.3 | 2 1 -1 |
| 30.58 | 2.924 | 15.6 | 2 1 -3 |
| 31.57 | 2.834 | 19.7 | 1 0 2 |
| 34.66 | 2.588 | 15.1 | 0 1 3 |
| 38.29 | 2.351 | 14.5 | 3 1 -3 |
| 40.99 | 2.202 | 17.8 | 0 0 4 |

Crystal structure
a b c (Å): 7.8375 5.4793 11.2856
angles (deg): 90.00 128.66 90.00
Space group P2_1/c (No. 14)
Symmetry-distinct sites (fractional):
In (0.2169, 0.0619, 0.3610)
H (0.0608, 0.7097, 0.6088)
H (0.1193, 0.0069, 0.9257)
H (0.2574, 0.1557, 0.6687)
H (0.3965, 0.0227, 0.8360)
H (0.4951, 0.7412, 0.1848)
N (0.0176, 0.1434, 0.8511)
N (0.3595, 0.1894, 0.7831)
F (0.1823, 0.6617, 0.0002)
F (0.4768, 0.6952, 0.9148)

(3)
For CaBO3, DFT lattice parameters and positions (PBE) gives the computed X-ray diffraction stick pattern in this record (CuKα).

Peak list (10 most intense, 2θ from 10° to 90°, low angle first)
| two_theta | d [Å] | I/Imax | h k l |
| --- | --- | --- | --- |
| 18.80 | 4.720 | 38.9 | 0 2 0 |
| 25.93 | 3.437 | 30.7 | 1 0 0 |
| 29.59 | 3.019 | 71.4 | 1 1 -2 |
| 30.07 | 2.972 | 95.5 | 0 2 2 |
| 32.22 | 2.778 | 52.2 | 1 2 0 |
| 33.95 | 2.641 | 100.0 | 1 2 -2 |
| 40.20 | 2.243 | 32.9 | 0 2 3 |
| 43.40 | 2.085 | 30.9 | 1 3 1 |
| 47.97 | 1.896 | 44.8 | 1 4 -2 |
| 52.69 | 1.737 | 31.9 | 1 1 3 |

Crystal structure
a b c (Å): 3.6809 9.4399 8.1947
angles (deg): 90.00 110.99 90.00
Space group P2_1/c (No. 14)
Symmetry-distinct sites (fractional):
Ca (0.0718, 0.0038, 0.2868)
B (0.2877, 0.2387, 0.0684)
O (0.0249, 0.1623, 0.9358)
O (0.3127, 0.1176, 0.5735)
O (0.4994, 0.6455, 0.3033)

(4)
For Cu2GeP2H10O14, DFT lattice parameters and positions (PBE) gives the computed X-ray diffraction stick pattern in this record (CuKα).

Peak list (10 most intense, 2θ from 10° to 90°, low angle first)
| two_theta | d [Å] | I/Imax | h k l |
| --- | --- | --- | --- |
| 12.39 | 7.142 | 100.0 | 0 1 1 |
| 17.45 | 5.081 | 27.5 | 0 1 2 |
| 18.59 | 4.772 | 38.4 | 1 0 0 |
| 18.72 | 4.739 | 22.5 | 1 0 -2 |
| 20.43 | 4.347 | 27.1 | 0 2 0 |
| 23.64 | 3.763 | 25.1 | 0 1 3 |
| 27.72 | 3.218 | 98.9 | 1 0 -4 |
| 30.39 | 2.941 | 31.9 | 1 2 1 |
| 34.96 | 2.567 | 16.8 | 1 1 3 |
| 35.33 | 2.541 | 15.7 | 0 2 4 |

Crystal structure
a b c (Å): 5.1409 8.6944 13.4899
angles (deg): 90.00 111.83 90.00
Space group P2_1/c (No. 14)
Symmetry-distinct sites (fractional):
Cu (0.0318, 0.0554, 0.2659)
Ge (0.0000, 0.0000, 0.0000)
P (0.3985, 0.1696, 0.9001)
H (0.0074, 0.1466, 0.4347)
H (0.1964, 0.7274, 0.8861)
H (0.3006, 0.5946, 0.1330)
H (0.3574, 0.0429, 0.1687)
H (0.4534, 0.6945, 0.8572)
O (0.0995, 0.5631, 0.1127)
O (0.1536, 0.0684, 0.1425)
O (0.2010, 0.1672, 0.9648)
O (0.2501, 0.6857, 0.8287)
O (0.2934, 0.6478, 0.5191)
O (0.3304, 0.0399, 0.8166)
O (0.3807, 0.1671, 0.3527)

(5)
For Hg, DFT lattice parameters and positions (PBE) gives the computed X-ray diffraction stick pattern in this record (CuKα).

Peak list (10 most intense, 2θ from 10° to 90°, low angle first)
| two_theta | d [Å] | I/Imax | h k l |
| --- | --- | --- | --- |
| 30.37 | 2.944 | 100.0 | 1 0 1 |
| 37.83 | 2.378 | 56.3 | 0 1 2 |
| 38.65 | 2.330 | 17.7 | 0 0 3 |
| 48.59 | 1.874 | 27.9 | 1 1 0 |
| 58.38 | 1.581 | 16.2 | 0 2 1 |
| 60.15 | 1.538 | 14.9 | 1 0 4 |
| 63.17 | 1.472 | 12.9 | 2 0 2 |
| 63.74 | 1.460 | 25.0 | 1 1 3 |
| 79.29 | 1.208 | 13.8 | 2 1 1 |
| 83.53 | 1.157 | 12.3 | 1 2 2 |

Crystal structure
a b c (Å): 3.7476 3.7476 6.9885
angles (deg): 90.00 90.00 120.00
Space group R-3m (No. 166, hexagonal axes)
Symmetry-distinct sites (fractional):
Hg (0.0000, 0.0000, 0.0000)

(6)
For Ti4Mn5V3, DFT lattice parameters and positions (PBE) gives the computed X-ray diffraction stick pattern in this record (CuKα).

Peak list (10 most intense, 2θ from 10° to 90°, low angle first)
| two_theta | d [Å] | I/Imax | h k l |
| --- | --- | --- | --- |
| 36.99 | 2.430 | 23.4 | 0 1 3 |
| 40.43 | 2.231 | 71.7 | 3 0 2 |
| 43.75 | 2.069 | 100.0 | 2 2 0 |
| 44.56 | 2.033 | 98.9 | 1 0 4 |
| 46.00 | 1.973 | 22.2 | 4 0 0 |
| 49.06 | 1.857 | 23.6 | 2 2 2 |
| 68.95 | 1.362 | 14.2 | 3 2 4 |
| 71.40 | 1.321 | 13.2 | 2 3 3 |
| 75.26 | 1.263 | 27.8 | 5 2 2 |
| 78.69 | 1.216 | 16.2 | 0 2 6 |

Crystal structure
a b c (Å): 7.8918 4.8532 8.4304
angles (deg): 90.00 90.00 90.00
Space group Amm2 (No. 38)
Symmetry-distinct sites (fractional):
Ti (0.1839, 0.0000, 0.0000)
Ti (0.3107, 0.0000, 0.3324)
Mn (0.0000, 0.0000, 0.4940)
Mn (0.0000, 0.2396, 0.2532)
Mn (0.5000, 0.2427, 0.0826)
V (0.2438, 0.0000, 0.6624)
V (0.5000, 0.0000, 0.8381)